The following is a theoretical X-ray diffraction stick pattern of MnFe5O6. It was derived from a structure optimized by DFT (PBE+U), using Cu Kα, 1.54184 Å.
Kinematic intensities with the Lorentz-polarization factor, no thermal factor.

Top 10 peaks for 2θ = 15–90°, most intense first:
(hkl), 2theta, d (Å), I/Imax
1 3 1, 40.5, 2.228, 1000
1 3 -3, 59.4, 1.555, 550
1 3 -1, 35.0, 2.561, 484
2 0 0, 35.3, 2.539, 475
2 0 -2, 41.6, 2.171, 457
0 6 0, 58.2, 1.586, 149
2 0 2, 59.0, 1.565, 141
2 6 -2, 74.0, 1.281, 131
2 6 0, 69.9, 1.345, 127
0 0 4, 74.8, 1.270, 126

Structural model:
```
data_MnFe5O6
_chemical_formula_sum 'Mn2 Fe10 O12'
_space_group_name_H-M_alt 'C 1 2/m 1'
_space_group_IT_number 12
_cell_length_a 5.3534
_cell_length_b 9.5154
_cell_length_c 5.3518
_cell_angle_alpha 90.00
_cell_angle_beta 108.42
_cell_angle_gamma 90.00
loop_
_space_group_symop_operation_xyz
'x,y,z'
'-x,-y,-z'
'-x,y,-z'
'x,-y,z'
'x+1/2,y+1/2,z'
'-x+1/2,-y+1/2,-z'
'-x+1/2,y+1/2,-z'
'x+1/2,-y+1/2,z'
loop_
_atom_site_label
_atom_site_fract_x
_atom_site_fract_y
_atom_site_fract_z
_atom_site_occupancy
Mn1 0.0000 0.0000 0.0000 1
Fe1 0.0000 0.1694 0.5000 1
Fe2 0.0000 0.3325 0.0000 1
Fe3 0.0000 0.5000 0.5000 1
O1 0.2364 0.3318 0.7534 1
O2 0.2430 0.0000 0.7332 1
```